# 1
For Hf2Ag3Hg, a GGA-PBE-relaxed structure gives the theoretical powder X-ray diffraction pattern in this record (Cu Kα (weighted mean of Kα1 and Kα2)).
Peak positions follow from Bragg's law for the DFT cell and can differ from measured ones.

Main lines, sorted by position (10° ≤ 2θ ≤ 90°):
2θ (°)	intensity	hkl
35.77	64	1 1 0
39.06	100	1 0 3
51.49	23	2 0 0
61.09	6	0 0 6
66.47	41	2 1 3
72.85	15	1 1 6
75.80	7	2 2 0
83.91	11	2 0 6
86.75	10	3 1 0
88.74	10	3 0 3

Structure:
Cell lengths 3.5498, 3.5498, 9.1018 Å; angles 90.00, 90.00, 90.00 degrees
Space group P4mm (No. 99)
Unique sites:
1 Hf 0.0000 0.0000 0.0000 x1
2 Hf 0.5000 0.5000 0.4884 x1
3 Ag 0.0000 0.0000 0.3227 x1
4 Ag 0.0000 0.0000 0.6573 x1
5 Ag 0.5000 0.5000 0.1702 x1
6 Hg 0.5000 0.5000 0.8233 x1


# 2
For Hf2AgHg, a GGA-PBE-relaxed structure gives the theoretical powder X-ray diffraction pattern in this record (Cu Kα (weighted mean of Kα1 and Kα2)).
Peak positions follow from Bragg's law for the DFT cell and can differ from measured ones.

Main lines, sorted by position (10° ≤ 2θ ≤ 90°):
2θ (°)	intensity	hkl
35.73	100	1 1 2
39.59	19	2 0 0
39.73	19	0 2 0
44.99	13	0 0 4
57.34	13	2 2 0
61.45	10	2 0 4
69.33	15	3 1 2
69.52	14	1 3 2
75.70	11	2 2 4
76.92	11	1 1 6

Structure:
Cell lengths 4.5530, 4.5375, 8.0601 Å; angles 90.00, 90.00, 90.00 degrees
Space group Pmma (No. 51)
Unique sites:
1 Hf 0.2500 0.0000 0.1263 x2
2 Hf 0.2500 0.5000 0.8718 x2
3 Ag 0.2500 0.0000 0.6233 x2
4 Hg 0.2500 0.5000 0.3807 x2


# 3
For KHfAgTeSeS, a GGA-PBE-relaxed structure gives the theoretical powder X-ray diffraction pattern in this record (Cu Kα (weighted mean of Kα1 and Kα2)).
Peak positions follow from Bragg's law for the DFT cell and can differ from measured ones.

Main lines, sorted by position (10° ≤ 2θ ≤ 90°):
2θ (°)	intensity	hkl
11.82	100	1 0 -1
25.11	15	1 1 0
27.84	14	0 0 3
30.99	16	2 1 -1
31.84	35	2 1 0
33.41	14	1 0 3
34.86	21	1 1 -3
35.28	17	1 0 -4
39.26	17	3 1 -1
43.44	20	2 1 -4

Structure:
Cell lengths 8.4661, 3.9574, 10.1922 Å; angles 90.00, 109.40, 90.00 degrees
Space group P2_1/m (No. 11)
Unique sites:
1 K 0.2053 0.2500 0.2401 x2
2 Hf 0.3185 0.7500 0.8422 x2
3 Ag 0.0754 0.2500 0.6033 x2
4 Te 0.2889 0.7500 0.5527 x2
5 Se 0.4444 0.7500 0.1267 x2
6 S 0.1307 0.2500 0.8627 x2